# 1
Er3TmHg7: computed XRD peak list (Cu Kα, 1.54184 Å), based on a PBE-relaxed structure.
Peak positions follow from Bragg's law for the DFT cell and can differ from measured ones.

Structural model:
```
22
Lattice="1.8082 -16.5068 0.0000 1.8082 16.5068 0.0000 0.0000 0.0000 11.1714" Properties=species:S:1:pos:R:3 pbc="T T T"
Er 1.8082 14.4666 6.4276
Er 1.8082 14.4666 10.3294
Er 1.8082 10.5735 2.7928
Er 1.8082 -10.5735 8.3785
Er 1.8082 -14.4666 0.8420
Er 1.8082 -14.4666 4.7437
Tm 1.8082 13.9392 2.7928
Tm 1.8082 -13.9392 8.3785
Hg 1.8082 7.4718 6.4384
Hg 1.8082 7.4718 10.3187
Hg 1.8082 4.1595 6.3229
Hg 1.8082 4.1595 10.4342
Hg 1.8082 3.6233 2.7928
Hg 1.8082 0.5597 6.9206
Hg 1.8082 0.5597 9.8365
Hg 1.8082 -0.5597 1.3349
Hg 1.8082 -0.5597 4.2508
Hg 1.8082 -3.6233 8.3785
Hg 1.8082 -4.1595 0.7372
Hg 1.8082 -4.1595 4.8485
Hg 1.8082 -7.4718 0.8527
Hg 1.8082 -7.4718 4.7330
```

Principal peaks in the range 2θ = 5–70°, by intensity:
d 2.470, 36.37 deg, intensity 100; d 2.586, 34.68 deg, intensity 100; d 2.575, 34.84 deg, intensity 88; d 16.507, 5.35 deg, intensity 84; d 1.459, 63.79 deg, intensity 41; d 9.252, 9.56 deg, intensity 40; d 1.509, 61.46 deg, intensity 35; d 1.808, 50.46 deg, intensity 33; d 2.870, 31.17 deg, intensity 26; d 2.509, 35.78 deg, intensity 26



# 2
La8Nd3Th: computed XRD peak list (Cu Kα, 1.54184 Å), based on a PBE-relaxed structure.
Peak positions follow from Bragg's law for the DFT cell and can differ from measured ones.

Structural model:
```
12
Lattice="-3.3794 5.7158 5.9050 3.3794 -5.7158 5.9050 3.3794 5.7158 -5.9050" Properties=species:S:1:pos:R:3 pbc="T T T"
La 3.3794 3.8886 -2.9778
La 1.5326 3.0450 0.0000
La 1.8468 -2.6708 5.9050
La 0.0000 1.8272 2.9271
La 3.3794 3.8886 2.9778
La 1.5326 8.3866 0.0000
La 1.8468 2.6708 5.9050
La 0.0000 1.8272 8.8828
Nd 3.3794 0.0000 2.6312
Nd 0.0000 0.0000 5.9050
Nd 0.0000 5.7158 3.2738
Th 0.0000 0.0000 0.0000
```

Principal peaks in the range 2θ = 5–70°, by intensity:
d 2.894, 30.90 deg, intensity 100; d 2.952, 30.27 deg, intensity 52; d 2.610, 34.37 deg, intensity 37; d 2.933, 30.48 deg, intensity 34; d 2.909, 30.74 deg, intensity 31; d 5.818, 15.23 deg, intensity 25; d 2.072, 43.69 deg, intensity 24; d 1.843, 49.47 deg, intensity 23; d 2.572, 34.88 deg, intensity 23; d 1.447, 64.40 deg, intensity 20



# 3
La3RuPb2: computed XRD peak list (Cu Kα, 1.54184 Å), based on a PBE-relaxed structure.
Peak positions follow from Bragg's law for the DFT cell and can differ from measured ones.

Structural model:
```
12
Lattice="9.1033 -3.3241 0.0000 9.1033 3.3241 0.0000 -1.1459 0.0000 6.1423" Properties=species:S:1:pos:R:3 pbc="T T T"
La 8.2438 2.0340 4.6067
La 6.2383 0.8638 0.9678
La 5.6654 -0.8638 4.0389
La 11.3953 0.8638 2.1033
La 10.8223 -0.8638 5.1745
La 8.8168 -2.0340 1.5356
Ru 8.8168 0.4215 1.5356
Ru 8.2438 -0.4215 4.6067
Pb 2.9948 0.8054 2.2210
Pb 2.4219 -0.8054 5.2921
Pb 14.6388 0.8054 0.8502
Pb 14.0658 -0.8054 3.9213
```

Principal peaks in the range 2θ = 5–70°, by intensity:
d 2.923, 30.58 deg, intensity 100; d 2.983, 29.96 deg, intensity 58; d 3.084, 28.96 deg, intensity 55; d 1.764, 51.84 deg, intensity 42; d 2.709, 33.07 deg, intensity 40; d 2.185, 41.31 deg, intensity 37; d 2.340, 38.48 deg, intensity 26; d 3.008, 29.70 deg, intensity 25; d 3.071, 29.08 deg, intensity 20; d 2.551, 35.17 deg, intensity 20



# 4
NdCd4B3Pt12: computed XRD peak list (Cu Kα, 1.54184 Å), based on a PBE-relaxed structure.
Peak positions follow from Bragg's law for the DFT cell and can differ from measured ones.

Structural model:
```
20
Lattice="-4.4855 4.4855 4.4855 4.4855 -4.4855 4.4855 4.4855 4.4855 -4.4855" Properties=species:S:1:pos:R:3 pbc="T T T"
Nd 0.0000 0.0000 0.0000
Cd 2.2428 2.2428 -2.2428
Cd 2.2428 -2.2428 2.2428
Cd -2.2428 2.2428 2.2428
Cd 2.2428 2.2428 2.2428
B 4.4855 0.0000 0.0000
B 0.0000 4.4855 0.0000
B 0.0000 0.0000 4.4855
Pt 2.5701 0.0000 0.0000
Pt 6.4009 0.0000 0.0000
Pt 4.4855 2.2428 0.0000
Pt 4.4855 0.0000 2.2428
Pt 0.0000 2.5701 0.0000
Pt 0.0000 0.0000 2.5701
Pt 2.2428 4.4855 0.0000
Pt 2.2428 0.0000 4.4855
Pt 0.0000 6.4009 0.0000
Pt 0.0000 0.0000 6.4009
Pt 0.0000 4.4855 2.2428
Pt 0.0000 2.2428 4.4855
```

Principal peaks in the range 2θ = 5–70°, by intensity:
d 2.590, 34.64 deg, intensity 100; d 2.243, 40.21 deg, intensity 63; d 1.586, 58.17 deg, intensity 38; d 1.352, 69.50 deg, intensity 32; d 4.486, 19.79 deg, intensity 13; d 1.913, 47.54 deg, intensity 9; d 2.398, 37.51 deg, intensity 9; d 2.114, 42.76 deg, intensity 6; d 2.837, 31.54 deg, intensity 5; d 2.006, 45.20 deg, intensity 3



# 5
BaNaSr3: computed XRD peak list (Cu Kα, 1.54184 Å), based on a PBE-relaxed structure.
Peak positions follow from Bragg's law for the DFT cell and can differ from measured ones.

Structural model:
```
10
Lattice="10.7088 0.0000 0.0000 0.0000 4.2163 0.0000 -3.6594 0.0000 12.0035" Properties=species:S:1:pos:R:3 pbc="T T T"
Ba 0.7034 1.0541 1.9016
Ba 6.3459 3.1622 10.1019
Na 1.2844 3.1622 5.5542
Na 5.7649 1.0541 6.4493
Sr -1.2914 1.0541 7.7744
Sr -0.0686 3.1622 11.2450
Sr 2.6986 1.0541 8.6708
Sr 4.3508 3.1622 3.3327
Sr 7.1179 1.0541 0.7585
Sr 8.3407 3.1622 4.2291
```

Principal peaks in the range 2θ = 5–70°, by intensity:
d 3.431, 25.97 deg, intensity 100; d 3.450, 25.83 deg, intensity 92; d 3.255, 27.40 deg, intensity 44; d 3.137, 28.45 deg, intensity 37; d 1.796, 50.84 deg, intensity 33; d 2.258, 39.92 deg, intensity 33; d 1.865, 48.82 deg, intensity 24; d 2.026, 44.73 deg, intensity 21; d 3.300, 27.02 deg, intensity 20; d 1.908, 47.66 deg, intensity 19



# 6
ErGa: computed XRD peak list (Cu Kα, 1.54184 Å), based on a PBE-relaxed structure.
Peak positions follow from Bragg's law for the DFT cell and can differ from measured ones.

Structural model:
```
4
Lattice="2.1624 -5.3845 0.0000 2.1624 5.3845 0.0000 0.0000 0.0000 4.0104" Properties=species:S:1:pos:R:3 pbc="T T T"
Er 2.1624 3.8858 3.0078
Er 2.1624 -3.8858 1.0026
Ga 2.1624 0.8395 3.0078
Ga 2.1624 -0.8395 1.0026
```

Principal peaks in the range 2θ = 5–70°, by intensity:
d 2.837, 31.54 deg, intensity 100; d 2.275, 39.62 deg, intensity 50; d 2.762, 32.41 deg, intensity 41; d 2.692, 33.28 deg, intensity 28; d 3.216, 27.74 deg, intensity 27; d 2.162, 41.77 deg, intensity 25; d 2.005, 45.22 deg, intensity 20; d 1.623, 56.73 deg, intensity 17; d 2.235, 40.35 deg, intensity 16; d 1.470, 63.25 deg, intensity 15



# 7
Ba3Cd2InHg6: computed XRD peak list (Cu Kα, 1.54184 Å), based on a PBE-relaxed structure.
Peak positions follow from Bragg's law for the DFT cell and can differ from measured ones.

Structural model:
```
12
Lattice="6.6385 0.0000 0.0000 -3.3192 5.7491 0.0000 0.0000 0.0000 10.1421" Properties=species:S:1:pos:R:3 pbc="T T T"
Ba 0.0000 0.0000 0.0000
Ba 0.0000 3.8327 6.2478
Ba 3.3192 1.9164 3.8943
Cd 0.0000 3.8327 10.0625
Cd 3.3192 1.9164 0.0796
In 0.0000 0.0000 5.0710
Hg 0.0000 2.0564 2.7116
Hg -1.5384 4.7209 2.7116
Hg 1.7809 1.0282 7.4305
Hg 1.5384 4.7209 2.7116
Hg 4.8576 1.0282 7.4305
Hg 3.3192 3.6927 7.4305
```

Principal peaks in the range 2θ = 5–70°, by intensity:
d 2.766, 32.37 deg, intensity 100; d 2.777, 32.23 deg, intensity 57; d 1.659, 55.38 deg, intensity 38; d 2.501, 35.91 deg, intensity 37; d 2.914, 30.68 deg, intensity 32; d 2.190, 41.22 deg, intensity 26; d 5.071, 17.49 deg, intensity 22; d 5.001, 17.73 deg, intensity 18; d 1.793, 50.94 deg, intensity 17; d 2.536, 35.40 deg, intensity 16



# 8
YCdIn: computed XRD peak list (Cu Kα, 1.54184 Å), based on a PBE-relaxed structure.
Peak positions follow from Bragg's law for the DFT cell and can differ from measured ones.

Structural model:
```
12
Lattice="6.6262 0.0000 0.0000 0.0000 4.8309 0.0000 0.0000 0.0000 9.3884" Properties=species:S:1:pos:R:3 pbc="T T T"
Y 1.0861 1.2077 0.8237
Y 2.2270 3.6232 5.5179
Y 4.3992 1.2077 3.8705
Y 5.5401 3.6232 8.5647
Cd 1.0102 1.2077 3.9275
Cd 2.3029 3.6232 8.6217
Cd 4.3233 1.2077 0.7667
Cd 5.6160 3.6232 5.4609
In 0.4031 1.2077 6.9539
In 2.9100 3.6232 2.2597
In 3.7162 1.2077 7.1287
In 6.2231 3.6232 2.4345
```

Principal peaks in the range 2θ = 5–70°, by intensity:
d 2.626, 34.15 deg, intensity 100; d 2.732, 32.78 deg, intensity 60; d 2.275, 39.62 deg, intensity 35; d 2.415, 37.22 deg, intensity 30; d 1.656, 55.48 deg, intensity 27; d 1.432, 65.16 deg, intensity 14; d 1.358, 69.19 deg, intensity 12; d 2.707, 33.09 deg, intensity 12; d 1.486, 62.49 deg, intensity 9; d 1.448, 64.32 deg, intensity 8



# 9
NaAc2BO5: computed XRD peak list (Cu Kα, 1.54184 Å), based on a PBE-relaxed structure.
Peak positions follow from Bragg's law for the DFT cell and can differ from measured ones.

Structural model:
```
18
Lattice="-3.6541 3.6541 4.7213 3.6541 -3.6541 4.7213 3.6541 3.6541 -4.7213" Properties=species:S:1:pos:R:3 pbc="T T T"
Na 0.0000 0.0000 2.3606
Na 0.0000 0.0000 7.0819
Ac 5.0209 1.3668 0.0000
Ac 1.3668 2.2873 0.0000
Ac 2.2873 1.3668 4.7213
Ac -1.3668 2.2873 4.7213
B 3.6541 0.0000 2.3606
B 0.0000 3.6541 2.3606
O 0.0000 0.0000 0.0000
O 4.5154 -0.8613 1.4848
O 2.7928 -0.8613 3.2365
O 2.7928 0.8613 1.4848
O 4.5154 0.8613 3.2365
O 0.0000 0.0000 4.7213
O -0.8613 2.7928 1.4848
O 0.8613 2.7928 3.2365
O 0.8613 4.5154 1.4848
O -0.8613 4.5154 3.2365
```

Principal peaks in the range 2θ = 5–70°, by intensity:
d 3.089, 28.91 deg, intensity 100; d 2.267, 39.76 deg, intensity 82; d 4.721, 18.80 deg, intensity 78; d 2.890, 30.95 deg, intensity 65; d 1.742, 52.53 deg, intensity 58; d 3.654, 24.36 deg, intensity 34; d 1.544, 59.89 deg, intensity 31; d 1.982, 45.77 deg, intensity 24; d 1.635, 56.26 deg, intensity 19; d 2.361, 38.12 deg, intensity 17



What is the formula in the seventh record? Ba3Cd2InHg6